1.
Diffraction record for Ac2BiTe5. The powder X-ray diffraction pattern is computed, not measured: it uses a DFT-relaxed cell (GGA-PBE, Alexandria) and Cu Kα.

Structural model:
Lattice parameters (Å, degrees): 6.491 16.720 14.008 90.00 90.00 90.00
Space group Cmcm (No. 63)
Symmetry-distinct sites (fractional):
Ac 0.000 0.154 0.063 x8
Bi 0.000 0.194 0.750 x4
Te 0.000 0.033 0.625 x8
Te 0.000 0.276 0.250 x4
Te 0.000 0.314 0.581 x8

The 10 most intense peaks (2θ from 15° to 90°), low angle first:
two_theta	I/Imax
21.80	95.4
27.48	100.0
27.62	21.9
28.66	96.9
33.22	27.3
35.35	60.6
35.81	41.7
38.56	26.1
40.12	93.7
48.00	21.7



2.
Diffraction record for AcBiTe. The powder X-ray diffraction pattern is computed, not measured: it uses a DFT-relaxed cell (GGA-PBE, Alexandria) and Cu Kα.

Structural model:
Lattice parameters (Å, degrees): 4.623 4.623 20.054 90.00 90.00 90.00
Space group I4/mmm (No. 139)
Symmetry-distinct sites (fractional):
Ac 0.000 0.000 0.143 x4
Bi 0.000 0.500 0.000 x4
Te 0.000 0.000 0.314 x4

The 10 most intense peaks (2θ from 15° to 90°), low angle first:
two_theta	I/Imax
26.67	48.0
28.72	97.7
29.48	20.0
32.70	100.0
36.91	29.3
38.96	56.8
47.84	40.3
56.28	19.8
64.40	20.6
66.63	27.0



3.
Diffraction record for Ac3ThBi4. The powder X-ray diffraction pattern is computed, not measured: it uses a DFT-relaxed cell (GGA-PBE, Alexandria) and Cu Kα.

Structural model:
Lattice parameters (Å, degrees): 9.615 13.568 4.795 90.00 90.00 90.00
Space group Cmmm (No. 65)
Symmetry-distinct sites (fractional):
Ac 0.000 0.000 0.000 x2
Ac 0.250 0.250 0.500 x4
Th 0.000 0.500 0.000 x2
Bi 0.000 0.257 0.000 x4
Bi 0.238 0.500 0.500 x4

The 10 most intense peaks (2θ from 15° to 90°), low angle first:
two_theta	I/Imax
26.26	100.0
37.47	66.5
37.52	13.5
46.34	29.5
54.04	14.1
61.02	19.5
61.09	19.7
67.56	14.2
67.67	14.7
86.00	8.0